# 1
Starting from a DFT-relaxed cell (PBE, Alexandria), the powder X-ray diffraction pattern of Zn was calculated for copper Kα.
Peak positions follow from Bragg's law for the DFT cell and can differ from measured ones.

Atomic structure:
Cell lengths 6.3553, 6.3553, 6.3553 Å; angles 137.62, 134.40, 64.00 degrees
Sites, in units of the cell vectors:
Zn 0.1711 0.8429 0.7650
Zn 0.2500 0.4549 0.2049
Zn 0.3289 0.0939 0.6718
Zn 0.5660 0.7500 0.3160
Zn 0.5780 0.4061 0.7350
Zn 0.7500 0.0451 0.2951
Zn 0.9220 0.6571 0.8282
Zn 0.9340 0.2500 0.1840

Peak list (10 most intense, 15 to 90 degrees two-theta, low angle first)
| two_theta | d (Å) | I_rel |
| --- | --- | --- |
| 36.48 | 2.463 | 31.9 |
| 39.21 | 2.297 | 31.7 |
| 42.48 | 2.128 | 16.7 |
| 43.03 | 2.102 | 100.0 |
| 44.31 | 2.044 | 7.3 |
| 54.63 | 1.680 | 15.8 |
| 70.18 | 1.341 | 9.7 |
| 73.70 | 1.285 | 13.0 |
| 81.40 | 1.182 | 10.6 |
| 83.11 | 1.162 | 6.3 |



# 2
Starting from a DFT-relaxed cell (PBE, Alexandria), the powder X-ray diffraction pattern of Pm4AuN2 was calculated for copper Kα.
Peak positions follow from Bragg's law for the DFT cell and can differ from measured ones.

Atomic structure:
Cell lengths 6.4546, 6.4546, 13.2529 Å; angles 90.00, 90.00, 146.56 degrees
Sites, in units of the cell vectors:
Pm 0.0000 0.0000 0.0000
Pm 0.0000 0.0000 0.5000
Pm 0.2649 0.7351 0.6053
Pm 0.2649 0.7351 0.8947
Pm 0.4280 0.5720 0.2500
Pm 0.5720 0.4280 0.7500
Pm 0.7351 0.2649 0.1053
Pm 0.7351 0.2649 0.3947
Au 0.1108 0.8892 0.2500
Au 0.8892 0.1108 0.7500
N 0.3620 0.6380 0.0555
N 0.3620 0.6380 0.4445
N 0.6380 0.3620 0.5555
N 0.6380 0.3620 0.9445

Peak list (10 most intense, 15 to 90 degrees two-theta, low angle first)
| two_theta | d (Å) | I_rel |
| --- | --- | --- |
| 30.61 | 2.920 | 70.0 |
| 31.95 | 2.801 | 38.7 |
| 32.31 | 2.770 | 85.3 |
| 33.17 | 2.701 | 100.0 |
| 35.24 | 2.547 | 34.4 |
| 48.79 | 1.866 | 23.8 |
| 49.06 | 1.857 | 22.5 |
| 58.94 | 1.567 | 21.9 |
| 59.19 | 1.561 | 27.3 |
| 61.57 | 1.506 | 19.1 |



# 3
Starting from a DFT-relaxed cell (PBE, Alexandria), the powder X-ray diffraction pattern of Dy5Ho4Pu was calculated for copper Kα.
Peak positions follow from Bragg's law for the DFT cell and can differ from measured ones.

Atomic structure:
Cell lengths 8.1017, 8.1017, 8.1017 Å; angles 96.41, 96.41, 140.95 degrees
Sites, in units of the cell vectors:
Dy 0.0000 0.0000 0.0000
Dy 0.3166 0.3166 0.6314
Dy 0.3166 0.6852 0.0000
Dy 0.6852 0.3166 0.0000
Dy 0.6852 0.6852 0.3686
Ho 0.0010 0.3274 0.3263
Ho 0.0010 0.6747 0.6737
Ho 0.3274 0.0010 0.3263
Ho 0.6747 0.0010 0.6737
Pu 0.4998 0.4998 0.0000

Peak list (10 most intense, 15 to 90 degrees two-theta, low angle first)
| two_theta | d (Å) | I_rel |
| --- | --- | --- |
| 24.70 | 3.604 | 12.6 |
| 29.80 | 2.998 | 100.0 |
| 33.10 | 2.706 | 47.1 |
| 34.21 | 2.621 | 12.1 |
| 35.26 | 2.545 | 61.5 |
| 49.13 | 1.855 | 47.2 |
| 50.72 | 1.800 | 20.2 |
| 57.08 | 1.614 | 16.0 |
| 59.95 | 1.543 | 21.4 |
| 61.91 | 1.499 | 24.4 |